For MgSi, DFT lattice parameters and positions (PBE) gives the calculated powder X-ray diffraction pattern in this record (λ = 1.5418 Å (Cu Kα)).

Largest 8 diffraction maxima, low angle first, 10 to 90 degrees two-theta:
- hkl 1 0 -2, 2θ 28.8, rel. 24
- hkl 0 0 3, 2θ 32.1, rel. 21
- hkl 1 0 3, 2θ 35.6, rel. 61
- hkl 2 0 0, 2θ 35.7, rel. 41
- hkl 1 0 -3, 2θ 38.2, rel. 36
- hkl 1 2 -1, 2θ 38.5, rel. 100
- hkl 1 1 -3, 2θ 42.0, rel. 23
- hkl 1 -2 1, 2θ 44.1, rel. 42

Structural model:
Cell: 5.1687 5.4008 8.4622 Å, 82.35 83.90 77.45°
Space group P1 (No. 1)
One atom of each set of equivalent atoms:
Mg: 0.0000 0.0000 0.0000 x1
Mg: 0.0149 0.1777 0.3214 x1
Mg: 0.4124 0.5263 0.2583 x1
Mg: 0.4823 0.0634 0.5526 x1
Mg: 0.5972 0.7307 0.8979 x1
Mg: 0.9696 0.3586 0.6999 x1
Si: 0.0269 0.8625 0.6250 x1
Si: 0.1055 0.4796 0.0162 x1
Si: 0.4419 0.5536 0.5957 x1
Si: 0.4786 0.2597 0.8533 x1
Si: 0.5741 0.9884 0.2258 x1
Si: 0.8310 0.6761 0.4174 x1